[1]
For Pr3Sb2H2, a cell relaxed with GGA-PBE gives the simulated powder XRD pattern in this record (Cu Kα (λ = 1.5418 Å)).

Crystal structure
Lattice parameters (Å, degrees): 4.1314 20.4794 7.9533 90.00 90.00 90.00
Space group Cmcm (No. 63)
Symmetry-distinct sites (fractional):
Pr 0.0000 0.0863 0.0272
Pr 0.0000 0.2932 0.2500
Sb 0.0000 0.3280 0.7500
Sb 0.0000 0.4721 0.2500
H 0.0000 0.1834 0.6058

Principal peaks in the range 10° ≤ 2θ ≤ 90°, low angle first:
2theta  I/Imax  h k l
24.01  20  0 2 2
28.44  41  0 4 2
30.74  82  1 5 0
31.53  100  1 1 2
32.78  26  1 5 1
34.63  40  0 6 2
43.83  23  2 0 0
44.24  18  1 7 2
45.63  16  0 0 4
56.02  24  1 5 4
57.03  19  2 6 2
65.15  18  2 0 4

---

[2]
For Pr2SbH2, a cell relaxed with GGA-PBE gives the simulated powder XRD pattern in this record (Cu Kα (λ = 1.5418 Å)).

Crystal structure
Lattice parameters (Å, degrees): 6.7433 10.3991 11.5022 90.00 90.00 90.00
Space group Fddd (No. 70, origin choice 2)
Symmetry-distinct sites (fractional):
Pr 0.1250 0.3143 0.1250
Sb 0.1250 0.1250 0.6250
H 0.1250 0.1250 0.0067

Principal peaks in the range 10° ≤ 2θ ≤ 90°, low angle first:
2theta  I/Imax  h k l
30.01  92  1 3 1
30.74  100  2 0 2
31.10  48  0 0 4
37.43  52  1 3 3
48.94  24  3 3 1
49.43  23  1 3 5
54.20  18  3 3 3
55.11  19  2 0 6
55.36  11  0 6 2
63.82  11  3 3 5
64.02  12  4 0 4
69.17  15  2 6 4

---

[3]
For Pr5Sb5H2, a cell relaxed with GGA-PBE gives the simulated powder XRD pattern in this record (Cu Kα (λ = 1.5418 Å)).

Crystal structure
Lattice parameters (Å, degrees): 15.1460 4.3824 12.1257 90.00 120.59 90.00
Space group C2/m (No. 12)
Symmetry-distinct sites (fractional):
Pr 0.0000 0.0000 0.0000
Pr 0.1000 0.0000 0.4121
Pr 0.1782 0.5000 0.7813
Sb 0.0000 0.5000 0.5000
Sb 0.1595 0.5000 0.0347
Sb 0.1901 0.5000 0.2985
H 0.0775 0.0000 0.7562

Principal peaks in the range 10° ≤ 2θ ≤ 90°, low angle first:
2theta  I/Imax  h k l
26.77  68  2 0 2
27.01  100  3 1 -1
27.76  58  3 1 -2
28.93  70  3 1 0
31.02  65  3 1 -3
37.61  81  1 1 -4
38.09  48  6 0 -4
40.24  40  5 1 0
41.20  52  0 2 0
44.89  29  4 0 -6
49.81  25  2 2 2
57.34  33  6 2 -4

---

[4]
For Pr6Sb3H, a cell relaxed with GGA-PBE gives the simulated powder XRD pattern in this record (Cu Kα (λ = 1.5418 Å)).

Crystal structure
Lattice parameters (Å, degrees): 12.1069 15.2023 6.9859 90.00 90.00 90.00
Space group Cmc2_1 (No. 36)
Symmetry-distinct sites (fractional):
Pr 0.0000 0.0695 0.0000
Pr 0.0000 0.2475 0.3797
Pr 0.1752 0.4645 0.4105
Pr 0.1758 0.2716 0.8957
Sb 0.0000 0.3986 0.7110
Sb 0.1516 0.1026 0.6071
H 0.0000 0.2230 0.0365

Principal peaks in the range 10° ≤ 2θ ≤ 90°, low angle first:
2theta  I/Imax  h k l
22.69  20  2 2 1
22.87  16  1 3 1
26.17  19  3 1 1
26.70  21  0 4 1
27.21  15  1 1 2
31.09  100  3 3 1
34.44  57  3 1 2
34.89  37  0 4 2
37.02  17  3 5 0
44.92  19  6 0 0
45.36  16  3 1 3
58.11  17  6 4 2

---

[5]
For Pr2Sc2Sn2H, a cell relaxed with GGA-PBE gives the simulated powder XRD pattern in this record (Cu Kα (λ = 1.5418 Å)).

Crystal structure
Lattice parameters (Å, degrees): 4.5219 4.5219 16.6531 90.00 90.00 90.00
Space group I4/mmm (No. 139)
Symmetry-distinct sites (fractional):
Pr 0.0000 0.0000 0.1748
Sc 0.0000 0.5000 0.0000
Sn 0.0000 0.0000 0.3753
H 0.0000 0.0000 0.0000

Principal peaks in the range 10° ≤ 2θ ≤ 90°, low angle first:
2theta  I/Imax  h k l
21.34  28  0 0 4
27.90  100  1 1 0
29.94  57  1 1 2
32.25  23  0 0 6
33.41  92  1 0 5
35.40  100  1 1 4
39.87  77  2 0 0
52.97  50  2 1 5
53.51  32  1 0 9
57.66  26  2 2 0
68.77  30  2 1 9
69.51  28  3 1 4

---

[6]
For Pr3SiH2, a cell relaxed with GGA-PBE gives the simulated powder XRD pattern in this record (Cu Kα (λ = 1.5418 Å)).

Crystal structure
Lattice parameters (Å, degrees): 5.0247 12.7038 3.9432 90.00 90.00 90.00
Space group Pmmn (No. 59, origin choice 2)
Symmetry-distinct sites (fractional):
Pr 0.2500 0.0640 0.2421
Pr 0.2500 0.7500 0.6787
Si 0.2500 0.2500 0.7634
H 0.2500 0.5551 0.7362

Principal peaks in the range 10° ≤ 2θ ≤ 90°, low angle first:
2theta  I/Imax  h k l
23.62  39  0 1 1
27.55  85  1 3 0
32.11  100  1 2 1
35.74  32  2 0 0
42.32  24  0 5 1
42.70  14  0 6 0
43.29  16  2 1 1
46.04  16  0 0 2
54.49  19  1 3 2
56.56  21  2 5 1
61.94  15  3 2 1
66.10  19  1 8 1

---

[7]
For Pr3SmH8, a cell relaxed with GGA-PBE gives the simulated powder XRD pattern in this record (Cu Kα (λ = 1.5418 Å)).

Crystal structure
Lattice parameters (Å, degrees): 5.4923 5.4923 5.4923 90.00 90.00 90.00
Space group Pm-3m (No. 221)
Symmetry-distinct sites (fractional):
Pr 0.0000 0.0000 0.5000
Sm 0.5000 0.5000 0.5000
H 0.2544 0.2544 0.2544

Principal peaks in the range 10° ≤ 2θ ≤ 90°, low angle first:
2theta  I/Imax  h k l
28.14  100  1 1 1
32.61  49  2 0 0
46.78  38  2 2 0
55.49  45  3 1 1
58.19  13  2 2 2
68.31  6  4 0 0
75.44  18  3 3 1
77.76  16  4 2 0
86.89  13  4 2 2

---

[8]
For PrSm2H6, a cell relaxed with GGA-PBE gives the simulated powder XRD pattern in this record (Cu Kα (λ = 1.5418 Å)).

Crystal structure
Lattice parameters (Å, degrees): 3.8342 3.8342 16.2768 90.00 90.00 90.00
Space group I4/mmm (No. 139)
Symmetry-distinct sites (fractional):
Pr 0.0000 0.0000 0.0000
Sm 0.0000 0.0000 0.3318
H 0.0000 0.5000 0.0872
H 0.0000 0.5000 0.2500

Principal peaks in the range 10° ≤ 2θ ≤ 90°, low angle first:
2theta  I/Imax  h k l
28.51  100  1 0 3
33.03  49  1 1 0
47.41  38  2 0 0
56.26  45  2 1 3
59.00  13  2 0 6
69.30  6  2 2 0
76.57  18  3 0 3
78.94  16  3 1 0
88.27  13  3 1 6

---

[9]
For Pr4SnH, a cell relaxed with GGA-PBE gives the simulated powder XRD pattern in this record (Cu Kα (λ = 1.5418 Å)).

Crystal structure
Lattice parameters (Å, degrees): 6.1412 7.4715 8.2652 107.37 111.72 90.03
Space group P-1 (No. 2)
Symmetry-distinct sites (fractional):
Pr 0.0105 0.4514 0.1952
Pr 0.1856 0.9516 0.1956
Pr 0.2323 0.8493 0.6425
Pr 0.4099 0.3498 0.6434
Sn 0.3865 0.2494 0.0001
H 0.0000 0.5000 0.5000
H 0.5000 0.0000 0.5000

Principal peaks in the range 10° ≤ 2θ ≤ 90°, low angle first:
2theta  I/Imax  h k l
29.02  87  0 2 -2
29.32  46  1 1 1
31.46  95  -1 2 1
32.59  100  2 -1 0
34.11  63  1 0 -3
39.52  23  1 3 -1
51.16  23  1 -4 1
51.70  30  3 1 0
52.16  13  0 2 3
57.44  13  0 4 1
58.72  22  -3 3 1
61.24  15  2 3 1

---

[10]
For Pr3Sn2H, a cell relaxed with GGA-PBE gives the simulated powder XRD pattern in this record (Cu Kα (λ = 1.5418 Å)).

Crystal structure
Lattice parameters (Å, degrees): 11.9054 6.5199 8.8829 90.00 105.11 90.00
Space group C2/c (No. 15)
Symmetry-distinct sites (fractional):
Pr 0.0000 0.1450 0.2500
Pr 0.1449 0.3759 0.6529
Sn 0.1489 0.1325 0.0074
H 0.0000 0.4901 0.2500

Principal peaks in the range 10° ≤ 2θ ≤ 90°, low angle first:
2theta  I/Imax  h k l
26.65  51  3 1 -1
29.05  78  2 0 2
29.31  100  0 2 1
30.22  88  3 1 -2
31.13  70  4 0 0
31.94  54  2 2 -1
32.68  41  4 0 -2
33.23  89  1 1 -3
34.57  96  2 2 1
43.15  41  1 1 -4
54.14  41  6 2 -1
59.56  41  5 1 3

---

[11]
For Tb3PrH8, a cell relaxed with GGA-PBE gives the simulated powder XRD pattern in this record (Cu Kα (λ = 1.5418 Å)).

Crystal structure
Lattice parameters (Å, degrees): 5.2976 5.2976 5.2976 90.00 90.00 90.00
Space group Pm-3m (No. 221)
Symmetry-distinct sites (fractional):
Tb 0.0000 0.0000 0.5000
Pr 0.5000 0.5000 0.5000
H 0.2419 0.2419 0.2419

Principal peaks in the range 10° ≤ 2θ ≤ 90°, low angle first:
2theta  I/Imax  h k l
29.20  100  1 1 1
33.84  49  2 0 0
48.61  38  2 2 0
57.72  44  3 1 1
60.54  13  2 2 2
71.20  6  4 0 0
78.74  18  3 3 1
81.20  16  4 2 0

---

[12]
For Pr2ThH6, a cell relaxed with GGA-PBE gives the simulated powder XRD pattern in this record (Cu Kα (λ = 1.5418 Å)).

Crystal structure
Lattice parameters (Å, degrees): 3.8973 3.8973 16.4787 90.00 90.00 90.00
Space group I4/mmm (No. 139)
Symmetry-distinct sites (fractional):
Pr 0.0000 0.0000 0.1673
Th 0.0000 0.0000 0.5000
H 0.0000 0.5000 0.0805
H 0.0000 0.5000 0.2500

Principal peaks in the range 10° ≤ 2θ ≤ 90°, low angle first:
2theta  I/Imax  h k l
28.07  100  1 0 3
32.49  33  1 1 0
32.60  16  0 0 6
46.66  39  2 0 0
55.30  31  2 1 3
55.45  15  1 0 9
58.04  13  2 0 6
75.15  6  3 0 3
75.28  12  2 1 9
77.47  11  3 1 0
77.69  6  1 1 12
86.57  9  3 1 6

---

[13]
For PrTm3H8, a cell relaxed with GGA-PBE gives the simulated powder XRD pattern in this record (Cu Kα (λ = 1.5418 Å)).

Crystal structure
Lattice parameters (Å, degrees): 5.1829 5.1829 5.1829 90.00 90.00 90.00
Space group Pm-3m (No. 221)
Symmetry-distinct sites (fractional):
Pr 0.0000 0.0000 0.0000
Tm 0.0000 0.5000 0.5000
H 0.2617 0.2617 0.2617

Principal peaks in the range 10° ≤ 2θ ≤ 90°, low angle first:
2theta  I/Imax  h k l
29.86  100  1 1 1
34.61  49  2 0 0
49.76  38  2 2 0
59.12  44  3 1 1
62.03  12  2 2 2
73.02  6  4 0 0
80.84  18  3 3 1
83.39  17  4 2 0